# 1
This entry pairs a crystal structure of BaNaNpO4 with its theoretical X-ray diffraction stick pattern. Radiation: Cu Kα (weighted mean of Kα1 and Kα2). Structure: a PBE-relaxed structure.
Peak positions follow from Bragg's law for the DFT cell and can differ from measured ones.

Cell and atoms:
a = 7.1846 Å, b = 7.1846 Å, c = 7.1846 Å
α = 144.51°, β = 144.51°, γ = 51.06°
Atoms (fractional coordinates):
1 Ba 0.0000 0.0000 0.0000
2 Na 0.2980 0.2980 0.0000
3 Np 0.6505 0.6505 0.0000
4 O 0.1439 0.6439 0.5000
5 O 0.4893 0.4893 0.0000
6 O 0.6439 0.1439 0.5000
7 O 0.8051 0.8051 0.0000

Peak list (10 most intense, 10 to 80 degrees two-theta, low angle first)
2theta, I/Imax
13.7, 62.7
21.4, 56.3
28.8, 63.5
29.0, 100.0
32.0, 17.8
40.4, 23.8
41.2, 33.0
51.2, 43.5
51.6, 22.4
60.2, 18.2


# 2
This entry pairs a crystal structure of Ba3Na2NpO8 with its theoretical X-ray diffraction stick pattern. Radiation: Cu Kα (weighted mean of Kα1 and Kα2). Structure: a PBE-relaxed structure.
Peak positions follow from Bragg's law for the DFT cell and can differ from measured ones.

Cell and atoms:
a = 6.0806 Å, b = 6.0806 Å, c = 8.1004 Å
α = 90.00°, β = 90.00°, γ = 120.00°
Atoms (fractional coordinates):
1 Ba 0.0000 0.0000 0.0000
2 Ba 0.3333 0.6667 0.6342
3 Ba 0.6667 0.3333 0.3658
4 Na 0.3333 0.6667 0.1994
5 Na 0.6667 0.3333 0.8006
6 Np 0.0000 0.0000 0.5000
7 O 0.1546 0.3091 0.3519
8 O 0.1546 0.8454 0.3519
9 O 0.3091 0.1546 0.6481
10 O 0.3333 0.6667 0.9355
11 O 0.6667 0.3333 0.0645
12 O 0.6909 0.8454 0.3519
13 O 0.8454 0.1546 0.6481
14 O 0.8454 0.6909 0.6481

Peak list (10 most intense, 10 to 80 degrees two-theta, low angle first)
2theta, I/Imax
10.9, 59.1
16.8, 37.4
27.8, 92.7
29.4, 100.0
37.0, 25.0
40.9, 45.6
48.1, 25.5
51.1, 35.8
52.1, 20.0
65.8, 21.8


# 3
This entry pairs a crystal structure of Ba4NaO with its theoretical X-ray diffraction stick pattern. Radiation: Cu Kα (weighted mean of Kα1 and Kα2). Structure: a PBE-relaxed structure.
Peak positions follow from Bragg's law for the DFT cell and can differ from measured ones.

Cell and atoms:
a = 12.8529 Å, b = 8.6357 Å, c = 11.4449 Å
α = 90.00°, β = 90.00°, γ = 90.00°
Atoms (fractional coordinates):
1 Ba 0.0581 0.0163 0.1832
2 Ba 0.0581 0.4837 0.1832
3 Ba 0.1047 0.7500 0.5593
4 Ba 0.2206 0.2500 0.4406
5 Ba 0.2794 0.7500 0.9406
6 Ba 0.3953 0.2500 0.0593
7 Ba 0.4419 0.5163 0.6832
8 Ba 0.4419 0.9837 0.6832
9 Ba 0.5581 0.0163 0.3168
10 Ba 0.5581 0.4837 0.3168
11 Ba 0.6047 0.7500 0.9407
12 Ba 0.7206 0.2500 0.0594
13 Ba 0.7794 0.7500 0.5594
14 Ba 0.8953 0.2500 0.4407
15 Ba 0.9419 0.5163 0.8168
16 Ba 0.9419 0.9837 0.8168
17 Na 0.1914 0.2500 0.8029
18 Na 0.3086 0.7500 0.3029
19 Na 0.6914 0.2500 0.6971
20 Na 0.8086 0.7500 0.1971
21 O 0.0596 0.2500 0.3154
22 O 0.4404 0.7500 0.8154
23 O 0.5596 0.2500 0.1846
24 O 0.9404 0.7500 0.6846

Peak list (10 most intense, 10 to 80 degrees two-theta, low angle first)
2theta, I/Imax
12.8, 37.3
20.8, 35.1
23.1, 73.2
24.3, 52.1
24.5, 60.8
24.8, 51.3
25.8, 62.9
26.0, 100.0
35.7, 42.8
43.4, 59.4


# 4
This entry pairs a crystal structure of Ba3Na3OsO8 with its theoretical X-ray diffraction stick pattern. Radiation: Cu Kα (weighted mean of Kα1 and Kα2). Structure: a PBE-relaxed structure.
Peak positions follow from Bragg's law for the DFT cell and can differ from measured ones.

Cell and atoms:
a = 7.3230 Å, b = 7.3230 Å, c = 7.3230 Å
α = 60.71°, β = 60.71°, γ = 60.71°
Atoms (fractional coordinates):
1 Ba 0.0000 0.5000 0.5000
2 Ba 0.5000 0.0000 0.5000
3 Ba 0.5000 0.5000 0.0000
4 Na 0.0000 0.0000 0.5000
5 Na 0.0000 0.5000 0.0000
6 Na 0.5000 0.0000 0.0000
7 Os 0.5000 0.5000 0.5000
8 O 0.2472 0.2472 0.2472
9 O 0.3143 0.3143 0.6848
10 O 0.3143 0.6848 0.3143
11 O 0.3152 0.6857 0.6857
12 O 0.6848 0.3143 0.3143
13 O 0.6857 0.3152 0.6857
14 O 0.6857 0.6857 0.3152
15 O 0.7528 0.7528 0.7528

Peak list (10 most intense, 10 to 80 degrees two-theta, low angle first)
2theta, I/Imax
14.7, 100.0
28.4, 31.2
28.6, 14.7
29.6, 50.4
30.1, 16.1
34.5, 63.8
45.2, 12.3
49.2, 20.4
49.8, 19.7
58.8, 19.5


# 5
This entry pairs a crystal structure of Ba2NaOsO5 with its theoretical X-ray diffraction stick pattern. Radiation: Cu Kα (weighted mean of Kα1 and Kα2). Structure: a PBE-relaxed structure.
Peak positions follow from Bragg's law for the DFT cell and can differ from measured ones.

Cell and atoms:
a = 7.1881 Å, b = 7.1881 Å, c = 7.1881 Å
α = 148.55°, β = 127.25°, γ = 62.72°
Atoms (fractional coordinates):
1 Ba 0.2234 0.2234 0.0000
2 Ba 0.7766 0.7766 0.0000
3 Na 0.5000 0.0000 0.5000
4 Os 0.0000 0.5000 0.5000
5 O 0.0000 0.0000 0.0000
6 O 0.1010 0.3814 0.7195
7 O 0.3381 0.6186 0.7195
8 O 0.6619 0.3814 0.2805
9 O 0.8990 0.6186 0.2805

Peak list (10 most intense, 10 to 80 degrees two-theta, low angle first)
2theta, I/Imax
15.6, 68.9
27.9, 29.1
29.1, 19.3
30.6, 100.0
39.3, 17.0
40.8, 28.0
42.8, 19.4
51.1, 23.5
52.5, 12.5
63.6, 14.2


# 6
This entry pairs a crystal structure of BaNaOsO6 with its theoretical X-ray diffraction stick pattern. Radiation: Cu Kα (weighted mean of Kα1 and Kα2). Structure: a PBE-relaxed structure.
Peak positions follow from Bragg's law for the DFT cell and can differ from measured ones.

Cell and atoms:
a = 4.9044 Å, b = 5.5706 Å, c = 5.7019 Å
α = 62.16°, β = 89.93°, γ = 89.95°
Atoms (fractional coordinates):
1 Ba 0.0000 0.0000 0.0000
2 Na 0.4817 0.6628 0.6595
3 Os 0.3707 0.3151 0.3464
4 O 0.1351 0.4474 0.5017
5 O 0.1432 0.4927 0.0148
6 O 0.1558 0.0105 0.4470
7 O 0.5184 0.2560 0.0620
8 O 0.5753 0.6262 0.2311
9 O 0.6131 0.1114 0.5991

Peak list (10 most intense, 10 to 80 degrees two-theta, low angle first)
2theta, I/Imax
17.6, 40.5
18.0, 93.3
18.4, 36.0
25.3, 100.0
25.6, 92.4
25.9, 91.8
30.7, 39.4
31.4, 43.1
32.1, 36.6
41.0, 50.3


# 7
This entry pairs a crystal structure of BaNaPO4 with its theoretical X-ray diffraction stick pattern. Radiation: Cu Kα (weighted mean of Kα1 and Kα2). Structure: a PBE-relaxed structure.
Peak positions follow from Bragg's law for the DFT cell and can differ from measured ones.

Cell and atoms:
a = 5.6790 Å, b = 5.6790 Å, c = 7.3741 Å
α = 90.00°, β = 90.00°, γ = 120.00°
Atoms (fractional coordinates):
1 Ba 0.0000 0.0000 0.0000
2 Ba 0.3333 0.6667 0.3561
3 Na 0.3333 0.6667 0.8401
4 Na 0.6667 0.3333 0.6452
5 P 0.0000 0.0000 0.5661
6 P 0.6667 0.3333 0.1312
7 O 0.0000 0.0000 0.3569
8 O 0.1479 0.2957 0.6440
9 O 0.1479 0.8521 0.6440
10 O 0.5177 0.0354 0.0551
11 O 0.5177 0.4823 0.0551
12 O 0.6667 0.3333 0.3395
13 O 0.7043 0.8521 0.6440
14 O 0.9646 0.4823 0.0551

Peak list (10 most intense, 10 to 80 degrees two-theta, low angle first)
2theta, I/Imax
18.0, 26.0
21.7, 75.3
30.3, 86.6
31.5, 100.0
36.6, 20.4
38.6, 35.2
44.3, 49.3
49.0, 26.2
55.3, 27.6
72.2, 22.0


# 8
This entry pairs a crystal structure of BaNaPO4 with its theoretical X-ray diffraction stick pattern. Radiation: Cu Kα (weighted mean of Kα1 and Kα2). Structure: a PBE-relaxed structure.
Peak positions follow from Bragg's law for the DFT cell and can differ from measured ones.

Cell and atoms:
a = 8.0009 Å, b = 5.4588 Å, c = 10.1345 Å
α = 90.00°, β = 90.00°, γ = 90.00°
Atoms (fractional coordinates):
1 Ba 0.0230 0.2500 0.1883
2 Ba 0.4770 0.7500 0.6883
3 Ba 0.5230 0.2500 0.3117
4 Ba 0.9770 0.7500 0.8117
5 Na 0.1109 0.7500 0.4500
6 Na 0.3891 0.2500 0.9500
7 Na 0.6109 0.7500 0.0500
8 Na 0.8891 0.2500 0.5500
9 P 0.2468 0.2500 0.5694
10 P 0.2532 0.7500 0.0694
11 P 0.7468 0.2500 0.9306
12 P 0.7532 0.7500 0.4306
13 O 0.0608 0.7500 0.0921
14 O 0.1664 0.0163 0.6302
15 O 0.1664 0.4837 0.6302
16 O 0.2074 0.2500 0.4177
17 O 0.2926 0.7500 0.9177
18 O 0.3336 0.5163 0.1302
19 O 0.3336 0.9837 0.1302
20 O 0.4392 0.2500 0.5921
21 O 0.5608 0.7500 0.4079
22 O 0.6664 0.0163 0.8698
23 O 0.6664 0.4837 0.8698
24 O 0.7074 0.2500 0.0823
25 O 0.7926 0.7500 0.5823
26 O 0.8336 0.5163 0.3698
27 O 0.8336 0.9837 0.3698
28 O 0.9392 0.2500 0.9079

Peak list (10 most intense, 10 to 80 degrees two-theta, low angle first)
2theta, I/Imax
18.5, 100.0
26.5, 66.5
28.4, 44.6
28.7, 53.4
29.0, 96.1
31.1, 32.6
32.8, 56.9
40.9, 45.2
44.0, 27.2
44.1, 47.3


# 9
This entry pairs a crystal structure of BaNaY2P2O8 with its theoretical X-ray diffraction stick pattern. Radiation: Cu Kα (weighted mean of Kα1 and Kα2). Structure: a PBE-relaxed structure.
Peak positions follow from Bragg's law for the DFT cell and can differ from measured ones.

Cell and atoms:
a = 5.3651 Å, b = 5.3651 Å, c = 8.5445 Å
α = 90.00°, β = 90.00°, γ = 120.00°
Atoms (fractional coordinates):
1 Ba 0.0000 0.0000 0.0000
2 Na 0.0000 0.0000 0.5000
3 Y 0.3333 0.6667 0.7049
4 Y 0.6667 0.3333 0.2951
5 P 0.3333 0.6667 0.1797
6 P 0.6667 0.3333 0.8203
7 O 0.1771 0.3543 0.2442
8 O 0.1771 0.8229 0.2442
9 O 0.3333 0.6667 0.9959
10 O 0.3543 0.1771 0.7558
11 O 0.6457 0.8229 0.2442
12 O 0.6667 0.3333 0.0041
13 O 0.8229 0.1771 0.7558
14 O 0.8229 0.6457 0.7558

Peak list (10 most intense, 10 to 80 degrees two-theta, low angle first)
2theta, I/Imax
10.4, 40.4
21.8, 41.0
28.4, 100.0
33.4, 77.3
40.2, 25.7
44.4, 39.9
46.5, 18.0
46.8, 19.6
56.7, 24.5
59.7, 13.6


# 10
This entry pairs a crystal structure of Ba3Na2PbO6 with its theoretical X-ray diffraction stick pattern. Radiation: Cu Kα (weighted mean of Kα1 and Kα2). Structure: a PBE-relaxed structure.
Peak positions follow from Bragg's law for the DFT cell and can differ from measured ones.

Cell and atoms:
a = 6.3684 Å, b = 6.3684 Å, c = 6.7701 Å
α = 90.00°, β = 90.00°, γ = 120.00°
Atoms (fractional coordinates):
1 Ba 0.0000 0.0000 0.0000
2 Ba 0.3333 0.6667 0.5919
3 Ba 0.6667 0.3333 0.4081
4 Na 0.3333 0.6667 0.1377
5 Na 0.6667 0.3333 0.8623
6 Pb 0.0000 0.0000 0.5000
7 O 0.1635 0.3271 0.3048
8 O 0.1635 0.8365 0.3048
9 O 0.3271 0.1635 0.6952
10 O 0.6729 0.8365 0.3048
11 O 0.8365 0.1635 0.6952
12 O 0.8365 0.6729 0.6952

Peak list (10 most intense, 10 to 80 degrees two-theta, low angle first)
2theta, I/Imax
13.1, 45.5
16.1, 38.5
28.0, 100.0
31.0, 77.8
38.8, 47.2
42.3, 34.3
49.6, 22.1
51.5, 32.5
57.0, 32.5
71.8, 19.3


# 11
This entry pairs a crystal structure of BaNa2Pu2O7 with its theoretical X-ray diffraction stick pattern. Radiation: Cu Kα (weighted mean of Kα1 and Kα2). Structure: a PBE-relaxed structure.
Peak positions follow from Bragg's law for the DFT cell and can differ from measured ones.

Cell and atoms:
a = 10.4712 Å, b = 10.4712 Å, c = 10.4712 Å
α = 156.00°, β = 156.00°, γ = 34.20°
Atoms (fractional coordinates):
1 Ba 0.0000 0.0000 0.0000
2 Na 0.2500 0.7500 0.5000
3 Na 0.7500 0.2500 0.5000
4 Pu 0.3920 0.3920 0.0000
5 Pu 0.6080 0.6080 0.0000
6 O 0.0991 0.5991 0.5000
7 O 0.2916 0.2916 0.0000
8 O 0.4009 0.9009 0.5000
9 O 0.5000 0.5000 0.0000
10 O 0.5991 0.0991 0.5000
11 O 0.7084 0.7084 0.0000
12 O 0.9009 0.4009 0.5000

Peak list (10 most intense, 10 to 80 degrees two-theta, low angle first)
2theta, I/Imax
17.7, 17.9
20.9, 47.8
24.4, 60.9
29.0, 45.9
30.3, 100.0
41.5, 36.1
46.8, 24.5
48.7, 19.2
52.2, 38.5
54.7, 18.7


# 12
This entry pairs a crystal structure of BaNaRe2O8 with its theoretical X-ray diffraction stick pattern. Radiation: Cu Kα (weighted mean of Kα1 and Kα2). Structure: a PBE-relaxed structure.
Peak positions follow from Bragg's law for the DFT cell and can differ from measured ones.

Cell and atoms:
a = 6.0126 Å, b = 6.0126 Å, c = 7.5970 Å
α = 90.00°, β = 90.00°, γ = 120.00°
Atoms (fractional coordinates):
1 Ba 0.0000 0.0000 0.0000
2 Na 0.0000 0.0000 0.5000
3 Re 0.3333 0.6667 0.7827
4 Re 0.6667 0.3333 0.2173
5 O 0.1699 0.3398 0.7142
6 O 0.1699 0.8301 0.7142
7 O 0.3333 0.6667 0.0168
8 O 0.3398 0.1699 0.2858
9 O 0.6602 0.8301 0.7142
10 O 0.6667 0.3333 0.9832
11 O 0.8301 0.1699 0.2858
12 O 0.8301 0.6602 0.2858

Peak list (10 most intense, 10 to 80 degrees two-theta, low angle first)
2theta, I/Imax
11.6, 19.4
20.7, 100.0
29.1, 36.0
29.7, 47.8
32.0, 14.4
39.6, 20.6
42.1, 20.1
47.7, 21.4
52.4, 14.2
59.5, 12.4